Simulated powder XRD pattern of K4PSe3O16 for Cu Kα (weighted mean of Kα1 and Kα2), from a DFT-relaxed cell (GGA-PBE, Alexandria).
No peak broadening, texture or thermal motion is included.

Structure:
a b c (Å): 7.6125 7.6941 7.7126
angles (deg): 86.60 77.96 85.16
Positions (direct):
K: 0.0000 0.0000 0.0000
K: 0.1742 0.3044 0.4725
K: 0.4680 0.7789 0.5144
K: 0.6996 0.4807 0.9318
P: 0.6871 0.2856 0.4200
Se: 0.1951 0.4671 0.9286
Se: 0.4827 0.9892 0.0213
Se: 0.9560 0.8248 0.5405
O: 0.0498 0.9808 0.6236
O: 0.0544 0.6410 0.9892
O: 0.0894 0.3241 0.8420
O: 0.1173 0.6695 0.4692
O: 0.2617 0.3814 0.1159
O: 0.3133 0.0760 0.1829
O: 0.3811 0.5216 0.7848
O: 0.3916 0.9582 0.8478
O: 0.5248 0.4199 0.4221
O: 0.5513 0.8024 0.1168
O: 0.6143 0.1012 0.4592
O: 0.6482 0.1226 0.9645
O: 0.7844 0.7467 0.6858
O: 0.7949 0.3221 0.5598
O: 0.8115 0.2968 0.2352
O: 0.8758 0.9040 0.3583

Most intense lines, 2θ = 10–80°, by angle:
hkl, 2θ/deg, I (rel.)
1 0 -1, 18.4, 422
0 2 0, 23.2, 323
0 0 2, 23.6, 1000
0 2 1, 25.6, 649
2 1 0, 25.9, 925
2 1 1, 26.1, 457
0 2 -1, 26.6, 813
2 -1 0, 27.5, 708
2 0 2, 30.1, 541
2 2 3, 44.0, 344